(1)
Theoretical X-ray diffraction stick pattern
Compound: KLiAgPS4
Radiation: Cu Kα (weighted mean of Kα1 and Kα2)
Structure: a GGA-PBE-relaxed structure
Intensities are scaled so that the largest is 100.

Principal peaks in the range 15° ≤ 2θ ≤ 90°, by intensity:
3.089 Å, 2θ = 28.9°, I 100
5.144 Å, 2θ = 17.2°, I 86
2.768 Å, 2θ = 32.3°, I 60
1.856 Å, 2θ = 49.1°, I 38
2.323 Å, 2θ = 38.8°, I 29
1.750 Å, 2θ = 52.3°, I 27

Atomic structure:
a = 6.2190 Å, b = 6.2190 Å, c = 6.2190 Å
α = 116.24°, β = 116.24°, γ = 96.65°
Sites, in units of the cell vectors:
K 0.0000 0.0000 0.0000
Li 0.2500 0.7500 0.5000
Ag 0.7500 0.2500 0.5000
P 0.5000 0.5000 0.0000
S 0.1815 0.5463 0.0115
S 0.4537 0.4652 0.6353
S 0.5348 0.1700 0.9885
S 0.8300 0.8185 0.3647

(2)
Theoretical X-ray diffraction stick pattern
Compound: KAg3Te4Mo
Radiation: Cu Kα (weighted mean of Kα1 and Kα2)
Structure: a GGA-PBE-relaxed structure
Intensities are scaled so that the largest is 100.

Principal peaks in the range 15° ≤ 2θ ≤ 90°, by intensity:
2.409 Å, 2θ = 37.3°, I 100
3.933 Å, 2θ = 22.6°, I 89
2.054 Å, 2θ = 44.1°, I 38
1.391 Å, 2θ = 67.3°, I 27
1.890 Å, 2θ = 48.2°, I 18
1.703 Å, 2θ = 53.8°, I 15

Atomic structure:
a = 6.8128 Å, b = 6.8128 Å, c = 6.8128 Å
α = 90.00°, β = 90.00°, γ = 90.00°
Sites, in units of the cell vectors:
K 0.0000 0.0000 0.0000
Ag 0.0000 0.5000 0.5000
Ag 0.5000 0.0000 0.5000
Ag 0.5000 0.5000 0.0000
Te 0.2774 0.2774 0.2774
Te 0.2774 0.7226 0.7226
Te 0.7226 0.2774 0.7226
Te 0.7226 0.7226 0.2774
Mo 0.5000 0.5000 0.5000